# 1
Ce2Cu4SiGe3: computed PXRD pattern (λ = 1.5418 Å (Cu Kα)), based on a cell relaxed with GGA-PBE.

Main lines, in order of falling intensity (10 to 80 degrees two-theta):
2θ (°), I/Imax
35.3, 100.0
34.7, 80.9
43.1, 65.3
56.5, 39.0
51.3, 30.4
30.1, 28.2
69.2, 24.1
74.0, 22.0
62.6, 20.7
65.0, 13.3

Structure:
a = 4.196 Å, b = 4.196 Å, c = 9.837 Å
α = 90.00°, β = 90.00°, γ = 90.00°
Fractional positions:
1 Ce 0.000 0.500 0.250
2 Ce 0.500 0.000 0.750
3 Cu 0.000 0.000 0.000
4 Cu 0.000 0.500 0.624
5 Cu 0.500 0.000 0.376
6 Cu 0.500 0.500 0.000
7 Si 0.000 0.000 0.500
8 Ge 0.000 0.500 0.867
9 Ge 0.500 0.000 0.133
10 Ge 0.500 0.500 0.500

***

# 2
Pu2ZnO11: computed PXRD pattern (λ = 1.5418 Å (Cu Kα)), based on a cell relaxed with GGA-PBE.

Main lines, in order of falling intensity (10 to 80 degrees two-theta):
2θ (°), I/Imax
17.3, 100.0
24.2, 33.4
24.1, 27.5
25.0, 21.9
23.7, 20.2
22.8, 19.5
21.7, 19.2
27.6, 18.7
23.0, 16.5
28.1, 15.2

Structure:
a = 7.667 Å, b = 7.964 Å, c = 8.460 Å
α = 68.09°, β = 68.04°, γ = 82.09°
Fractional positions:
1 Pu 0.000 0.000 0.000
2 Pu 0.072 0.871 0.479
3 Pu 0.455 0.471 0.895
4 Pu 0.598 0.396 0.415
5 Zn 0.586 0.885 0.444
6 Zn 0.942 0.493 0.927
7 O 0.008 0.252 0.897
8 O 0.046 0.711 0.716
9 O 0.100 0.007 0.236
10 O 0.192 0.465 0.981
11 O 0.209 0.594 0.418
12 O 0.246 0.989 0.868
13 O 0.253 0.613 0.242
14 O 0.322 0.918 0.435
15 O 0.413 0.518 0.186
16 O 0.454 0.702 0.731
17 O 0.461 0.366 0.660
18 O 0.464 0.236 0.030
19 O 0.551 0.157 0.457
20 O 0.636 0.635 0.378
21 O 0.713 0.494 0.837
22 O 0.758 0.008 0.164
23 O 0.763 0.423 0.177
24 O 0.821 0.832 0.518
25 O 0.856 0.204 0.655
26 O 0.884 0.257 0.477
27 O 0.943 0.041 0.712
28 O 0.976 0.756 0.072

***

# 3
Tm4TcPt: computed PXRD pattern (λ = 1.5418 Å (Cu Kα)), based on a cell relaxed with GGA-PBE.

Main lines, in order of falling intensity (10 to 80 degrees two-theta):
2θ (°), I/Imax
35.4, 100.0
31.2, 85.4
32.0, 80.6
42.3, 52.0
36.8, 48.3
42.6, 46.4
34.7, 38.4
32.4, 35.7
41.7, 32.5
57.3, 27.8

Structure:
a = 7.391 Å, b = 4.275 Å, c = 18.118 Å
α = 90.00°, β = 90.00°, γ = 90.00°
Fractional positions:
1 Tm 0.008 0.250 0.073
2 Tm 0.071 0.250 0.781
3 Tm 0.092 0.250 0.353
4 Tm 0.149 0.250 0.543
5 Tm 0.351 0.750 0.043
6 Tm 0.408 0.750 0.853
7 Tm 0.429 0.750 0.281
8 Tm 0.492 0.750 0.573
9 Tm 0.508 0.250 0.427
10 Tm 0.571 0.250 0.719
11 Tm 0.592 0.250 0.147
12 Tm 0.649 0.250 0.957
13 Tm 0.851 0.750 0.457
14 Tm 0.908 0.750 0.647
15 Tm 0.929 0.750 0.219
16 Tm 0.992 0.750 0.927
17 Tc 0.250 0.250 0.938
18 Tc 0.250 0.750 0.438
19 Tc 0.750 0.250 0.562
20 Tc 0.750 0.750 0.062
21 Pt 0.223 0.250 0.205
22 Pt 0.277 0.750 0.705
23 Pt 0.723 0.250 0.295
24 Pt 0.777 0.750 0.795

***

# 4
PmErGaHg: computed PXRD pattern (λ = 1.5418 Å (Cu Kα)), based on a cell relaxed with GGA-PBE.

Main lines, in order of falling intensity (10 to 80 degrees two-theta):
2θ (°), I/Imax
34.3, 100.0
34.9, 49.5
62.2, 36.0
50.2, 17.8
61.0, 17.0
27.2, 12.7
72.2, 10.3
11.7, 10.1
48.3, 8.5
73.7, 5.7

Structure:
a = 3.636 Å, b = 3.636 Å, c = 7.535 Å
α = 90.00°, β = 90.00°, γ = 90.00°
Fractional positions:
1 Pm 0.000 0.000 0.000
2 Er 0.000 0.000 0.529
3 Ga 0.500 0.500 0.754
4 Hg 0.500 0.500 0.286

***

# 5
Cd2CuBr: computed PXRD pattern (λ = 1.5418 Å (Cu Kα)), based on a cell relaxed with GGA-PBE.

Main lines, in order of falling intensity (10 to 80 degrees two-theta):
2θ (°), I/Imax
35.6, 100.0
30.2, 44.6
57.2, 24.0
59.0, 12.4
30.4, 12.0
49.4, 10.9
52.9, 10.1
42.4, 10.0
31.5, 9.2
61.9, 8.2

Structure:
a = 3.691 Å, b = 5.923 Å, c = 8.528 Å
α = 90.00°, β = 90.00°, γ = 90.00°
Fractional positions:
1 Cd 0.000 0.000 0.000
2 Cd 0.000 0.500 0.280
3 Cd 0.500 0.000 0.280
4 Cd 0.500 0.500 0.000
5 Cu 0.000 0.000 0.503
6 Cu 0.500 0.500 0.503
7 Br 0.000 0.500 0.699
8 Br 0.500 0.000 0.699

***

# 6
TiTe4Pd2: computed PXRD pattern (λ = 1.5418 Å (Cu Kα)), based on a cell relaxed with GGA-PBE.

Main lines, in order of falling intensity (10 to 80 degrees two-theta):
2θ (°), I/Imax
44.8, 100.0
31.3, 86.1
31.2, 43.2
27.0, 42.8
13.4, 41.3
25.8, 33.2
55.7, 30.9
41.0, 21.3
44.9, 20.0
74.2, 18.2

Structure:
a = 8.095 Å, b = 8.095 Å, c = 8.095 Å
α = 120.19°, β = 120.09°, γ = 89.75°
Fractional positions:
1 Ti 0.376 0.126 0.250
2 Ti 0.624 0.874 0.750
3 Te 0.223 0.740 0.482
4 Te 0.240 0.257 0.517
5 Te 0.240 0.723 0.983
6 Te 0.242 0.260 0.982
7 Te 0.758 0.740 0.018
8 Te 0.760 0.277 0.017
9 Te 0.760 0.743 0.483
10 Te 0.777 0.260 0.518
11 Pd 0.000 0.000 0.500
12 Pd 0.000 0.500 0.000
13 Pd 0.000 0.500 0.500
14 Pd 0.500 0.500 0.000

***

# 7
Pr4UP5: computed PXRD pattern (λ = 1.5418 Å (Cu Kα)), based on a cell relaxed with GGA-PBE.

Main lines, in order of falling intensity (10 to 80 degrees two-theta):
2θ (°), I/Imax
30.5, 100.0
26.4, 87.9
43.7, 73.8
51.8, 44.1
72.1, 33.4
54.2, 26.0
70.0, 18.4
63.5, 12.1
17.9, 4.0
13.5, 3.8

Structure:
a = 7.173 Å, b = 7.173 Å, c = 7.173 Å
α = 99.61°, β = 99.61°, γ = 131.78°
Fractional positions:
1 Pr 0.097 0.700 0.797
2 Pr 0.300 0.097 0.397
3 Pr 0.700 0.903 0.603
4 Pr 0.903 0.300 0.203
5 U 0.500 0.500 0.000
6 P 0.000 0.000 0.000
7 P 0.215 0.406 0.621
8 P 0.406 0.785 0.191
9 P 0.594 0.215 0.809
10 P 0.785 0.594 0.379

***

# 8
Sr3Ga3Rh: computed PXRD pattern (λ = 1.5418 Å (Cu Kα)), based on a cell relaxed with GGA-PBE.

Main lines, in order of falling intensity (10 to 80 degrees two-theta):
2θ (°), I/Imax
30.3, 100.0
30.6, 79.8
30.1, 76.1
36.6, 72.9
40.9, 62.8
36.1, 52.2
14.9, 48.4
36.7, 40.2
34.6, 36.5
58.0, 35.2

Structure:
a = 6.357 Å, b = 6.357 Å, c = 15.569 Å
α = 108.22°, β = 108.22°, γ = 40.57°
Fractional positions:
1 Sr 0.017 0.017 0.388
2 Sr 0.111 0.111 0.921
3 Sr 0.245 0.245 0.237
4 Sr 0.755 0.755 0.763
5 Sr 0.889 0.889 0.079
6 Sr 0.983 0.983 0.612
7 Ga 0.319 0.319 0.459
8 Ga 0.402 0.402 0.922
9 Ga 0.454 0.454 0.760
10 Ga 0.546 0.546 0.240
11 Ga 0.598 0.598 0.078
12 Ga 0.681 0.681 0.541
13 Rh 0.272 0.272 0.608
14 Rh 0.728 0.728 0.392